(1)
Simulated powder XRD pattern
Compound: Rb2TiSiF6
Radiation: copper Kα
Structure: a GGA-PBE-relaxed structure
Intensities are scaled so that the largest is 100.

Principal peaks in the range 2θ from 10° to 80°, by angle:
hkl 1 1 2, d = 3.290 Å, intensity 100.0; hkl 2 0 0, d = 2.949 Å, intensity 32.5; hkl 0 0 4, d = 2.677 Å, intensity 29.4; hkl 2 0 2, d = 2.583 Å, intensity 41.7; hkl 2 2 0, d = 2.085 Å, intensity 35.2; hkl 3 1 2, d = 1.761 Å, intensity 31.6; hkl 2 2 4, d = 1.645 Å, intensity 24.0; hkl 1 1 6, d = 1.641 Å, intensity 19.1

Atomic structure:
```
data_Rb2TiSiF6
_chemical_formula_sum 'Rb4 Ti2 Si2 F12'
_cell_length_a 5.8979
_cell_length_b 5.8979
_cell_length_c 10.7095
_cell_angle_alpha 90.00
_cell_angle_beta 90.00
_cell_angle_gamma 90.00
_space_group_name_H-M_alt 'I 4/m m m'
_space_group_IT_number 139
_space_group_name_Hall '-I 4 2'
loop_
_atom_site_label
_atom_site_type_symbol
_atom_site_fract_x
_atom_site_fract_y
_atom_site_fract_z
Rb1 Rb 0.0000 0.5000 0.2500
Ti1 Ti 0.0000 0.0000 0.0000
Si1 Si 0.0000 0.0000 0.5000
F1 F 0.0000 0.0000 0.1803
F2 F 0.2449 0.2449 0.0000
```

***

(2)
Simulated powder XRD pattern
Compound: Tl14HgPb
Radiation: copper Kα
Structure: a GGA-PBE-relaxed structure
Intensities are scaled so that the largest is 100.

Principal peaks in the range 2θ from 10° to 80°, by angle:
hkl 2 2 2, d = 2.796 Å, intensity 100.0; hkl 4 0 0, d = 2.775 Å, intensity 49.4; hkl 0 4 0, d = 1.991 Å, intensity 9.1; hkl 4 0 4, d = 1.963 Å, intensity 18.0; hkl 4 4 0, d = 1.618 Å, intensity 18.7; hkl 6 2 2, d = 1.606 Å, intensity 37.0; hkl 4 4 4, d = 1.398 Å, intensity 11.2; hkl 6 2 6, d = 1.243 Å, intensity 11.3

Atomic structure:
```
data_Tl14HgPb
_chemical_formula_sum 'Tl28 Hg2 Pb2'
_cell_length_a 11.0931
_cell_length_b 7.9652
_cell_length_c 11.1109
_cell_angle_alpha 90.00
_cell_angle_beta 90.00
_cell_angle_gamma 90.00
_space_group_name_H-M_alt 'A m m 2'
_space_group_IT_number 38
loop_
_space_group_symop_operation_xyz
'x,y,z'
'-x,-y,z'
'-x,y,z'
'x,-y,z'
'x,y+1/2,z+1/2'
'-x,-y+1/2,z+1/2'
'-x,y+1/2,z+1/2'
'x,-y+1/2,z+1/2'
loop_
_atom_site_label
_atom_site_type_symbol
_atom_site_fract_x
_atom_site_fract_y
_atom_site_fract_z
Tl1 Tl 0.0000 0.0000 0.0000
Tl2 Tl 0.0000 0.0000 0.4810
Tl3 Tl 0.0000 0.2320 0.7399
Tl4 Tl 0.2424 0.0000 0.2416
Tl5 Tl 0.2566 0.2349 0.9812
Tl6 Tl 0.2597 0.0000 0.7206
Tl7 Tl 0.5000 0.2336 0.2350
Hg1 Hg 0.5000 0.0000 0.9770
Pb1 Pb 0.5000 0.0000 0.4941
```